Diffraction record for Cs2NdCuBr6. The PXRD pattern is computed, not measured: it uses a structure optimized by DFT (PBE) and Cu Kα, 1.54184 Å.
Peak positions follow from Bragg's law for the DFT cell and can differ from measured ones.

abc: 7.942 7.942 7.942
angles: 60.00 60.00 60.00
Fractional positions:
Cs 0.250 0.250 0.250
Cs 0.750 0.750 0.750
Nd 0.000 0.000 0.000
Cu 0.500 0.500 0.500
Br 0.258 0.258 0.742
Br 0.258 0.742 0.258
Br 0.258 0.742 0.742
Br 0.742 0.258 0.258
Br 0.742 0.258 0.742
Br 0.742 0.742 0.258

Peak list (8 most intense, 2θ from 15° to 90°, by intensity)
2θ 31.9, rel. 1000; 2θ 45.7, rel. 715; 2θ 27.5, rel. 613; 2θ 22.4, rel. 505; 2θ 75.8, rel. 311; 2θ 54.2, rel. 259; 2θ 56.8, rel. 246; 2θ 84.5, rel. 236